Simulated powder diffraction line list
Compound: NbTePdI
Radiation: Cu Kα (weighted mean of Kα1 and Kα2)
Structure: a structure optimized by DFT (GGA-PBE)

Largest 8 diffraction maxima, by intensity, 2θ = 5–70°:
two_theta  I_rel
11.4  100
43.2  67
29.0  60
36.8  51
28.9  29
36.6  27
31.2  22
49.9  16

Atomic structure:
```
NbTePdI
1.0
3.6315 -2.0962 0.0000
3.6315 2.0962 0.0000
-2.4618 0.0000 7.7375
Nb Te Pd I
1 1 1 1
direct
0.0000 0.0000 0.0000
0.5756 0.5756 0.7315
0.2948 0.2948 0.8864
0.7483 0.7483 0.2408
```

***

Simulated powder diffraction line list
Compound: Pm2Er3S4
Radiation: Cu Kα (weighted mean of Kα1 and Kα2)
Structure: a structure optimized by DFT (GGA-PBE)

Largest 8 diffraction maxima, by intensity, 2θ = 5–70°:
two_theta  I_rel
31.4  100
28.7  46
46.7  37
27.8  24
43.2  23
55.2  23
27.0  19
57.3  18

Atomic structure:
```
Pm2Er3S4
1.0
3.8912 0.0000 0.0000
-1.9456 3.3699 0.0000
0.0000 0.0000 16.0422
Pm Er S
2 3 4
direct
0.3333 0.6667 0.2073
0.6667 0.3333 0.7927
0.0000 0.0000 0.0000
0.3333 0.6667 0.5891
0.6667 0.3333 0.4109
0.0000 0.0000 0.3147
0.0000 0.0000 0.6853
0.3333 0.6667 0.9036
0.6667 0.3333 0.0964
```

***

Simulated powder diffraction line list
Compound: CdCuB2As
Radiation: Cu Kα (weighted mean of Kα1 and Kα2)
Structure: a structure optimized by DFT (GGA-PBE)

Largest 8 diffraction maxima, by intensity, 2θ = 5–70°:
two_theta  I_rel
32.7  100
46.8  73
32.5  66
28.2  56
16.1  50
36.7  47
58.3  46
47.0  45

Atomic structure:
```
CdCuB2As
1.0
3.8681 0.0000 0.0000
0.0000 3.8681 0.0000
0.0000 0.0000 5.5124
Cd Cu B As
1 1 2 1
direct
0.0000 0.0000 0.0000
0.5000 0.5000 0.5000
0.0000 0.5000 0.5000
0.5000 0.0000 0.5000
0.5000 0.5000 0.0000
```

***

Simulated powder diffraction line list
Compound: CaIn2RuAu
Radiation: Cu Kα (weighted mean of Kα1 and Kα2)
Structure: a structure optimized by DFT (GGA-PBE)

Largest 8 diffraction maxima, by intensity, 2θ = 5–70°:
two_theta  I_rel
30.2  100
17.6  87
35.7  78
49.8  59
33.6  46
62.8  29
51.3  27
60.7  27

Atomic structure:
```
CaIn2RuAu
1.0
5.0337 0.0000 0.0000
0.0000 5.0337 0.0000
0.0000 0.0000 5.3271
Ca In Ru Au
1 2 1 1
direct
0.0000 0.0000 0.0000
0.0000 0.5000 0.5000
0.5000 0.0000 0.5000
0.5000 0.5000 0.5000
0.5000 0.5000 0.0000
```

***

Simulated powder diffraction line list
Compound: Pm2Nd2Rh3
Radiation: Cu Kα (weighted mean of Kα1 and Kα2)
Structure: a structure optimized by DFT (GGA-PBE)

Largest 8 diffraction maxima, by intensity, 2θ = 5–70°:
two_theta  I_rel
32.0  100
38.1  51
52.8  31
65.0  21
28.6  15
50.6  13
68.8  11
48.3  11

Atomic structure:
```
Pm2Nd2Rh3
1.0
-4.4195 4.4195 4.4195
4.4195 -4.4195 4.4195
4.4195 4.4195 -4.4195
Pm Nd Rh
4 4 6
direct
0.0000 0.6178 0.5000
0.5000 0.0000 0.6178
0.6178 0.5000 0.0000
0.8822 0.8822 0.8822
0.0000 0.1215 0.5000
0.1215 0.5000 0.0000
0.3785 0.3785 0.3785
0.5000 0.0000 0.1215
0.1160 0.8660 0.2500
0.2500 0.1160 0.8660
0.3840 0.6340 0.7500
0.6340 0.7500 0.3840
0.7500 0.3840 0.6340
0.8660 0.2500 0.1160
```

***

Simulated powder diffraction line list
Compound: Tb4Sm4Er3
Radiation: Cu Kα (weighted mean of Kα1 and Kα2)
Structure: a structure optimized by DFT (GGA-PBE)

Largest 8 diffraction maxima, by intensity, 2θ = 5–70°:
two_theta  I_rel
31.9  100
31.6  91
31.8  52
30.9  41
62.2  30
44.9  30
56.7  20
57.1  19

Atomic structure:
```
Tb4Sm4Er3
1.0
3.5251 0.0000 0.0000
-0.0006 5.6365 0.0000
-1.7588 -2.8156 17.7771
Tb Sm Er
4 4 3
direct
0.0452 0.0460 0.0912
0.1795 0.6801 0.3600
0.8205 0.3199 0.6400
0.9548 0.9540 0.9088
0.0899 0.5905 0.1804
0.2326 0.2324 0.4647
0.7674 0.7676 0.5353
0.9101 0.4095 0.8196
0.3648 0.8640 0.7285
0.5000 0.5000 0.0000
0.6352 0.1360 0.2715
```

***

Simulated powder diffraction line list
Compound: Dy3Er2Tm5
Radiation: Cu Kα (weighted mean of Kα1 and Kα2)
Structure: a structure optimized by DFT (GGA-PBE)

Largest 8 diffraction maxima, by intensity, 2θ = 5–70°:
two_theta  I_rel
30.9  100
33.5  87
30.3  80
40.9  60
32.3  39
25.7  36
35.6  31
36.2  29

Atomic structure:
```
Dy3Er2Tm5
1.0
-6.3121 8.3927 3.0832
6.3121 -8.3927 3.0832
6.3121 8.3927 -3.0832
Dy Er Tm
6 4 10
direct
0.2491 0.1592 0.4083
0.2500 0.2500 0.0000
0.2509 0.6592 0.9101
0.7491 0.3408 0.0899
0.7500 0.7500 0.0000
0.7509 0.8408 0.5917
0.1563 0.8997 0.0560
0.3437 0.3997 0.7434
0.6563 0.6003 0.2566
0.8437 0.1003 0.9440
0.1560 0.4017 0.5577
0.2500 0.5012 0.2512
0.2500 0.7500 0.5000
0.2500 0.9988 0.7488
0.3440 0.9017 0.2457
0.6560 0.0983 0.7543
0.7500 0.0012 0.2512
0.7500 0.2500 0.5000
0.7500 0.4988 0.7488
0.8440 0.5983 0.4423
```

***

Simulated powder diffraction line list
Compound: CsAlF4
Radiation: Cu Kα (weighted mean of Kα1 and Kα2)
Structure: a structure optimized by DFT (GGA-PBE)

Largest 8 diffraction maxima, by intensity, 2θ = 5–70°:
two_theta  I_rel
32.0  100
30.1  84
39.0  84
18.4  73
28.3  71
21.3  67
37.2  59
46.1  45

Atomic structure:
```
CsAlF4
1.0
9.6255 0.0000 0.0000
-4.8128 8.3359 0.0000
0.0000 0.0000 3.7673
Cs Al F
3 3 12
direct
0.0000 0.4321 0.0000
0.4321 0.0000 0.0000
0.5679 0.5679 0.0000
0.0000 0.7836 0.5000
0.2164 0.2164 0.5000
0.7836 0.0000 0.5000
0.0000 0.1544 0.5000
0.0000 0.7914 0.0000
0.1544 0.0000 0.5000
0.1565 0.7366 0.5000
0.2086 0.2086 0.0000
0.2634 0.4199 0.5000
0.4199 0.2634 0.5000
0.5801 0.8435 0.5000
0.7366 0.1565 0.5000
0.7914 0.0000 0.0000
0.8435 0.5801 0.5000
0.8456 0.8456 0.5000
```

***

Simulated powder diffraction line list
Compound: SrMgZnGa2
Radiation: Cu Kα (weighted mean of Kα1 and Kα2)
Structure: a structure optimized by DFT (GGA-PBE)

Largest 8 diffraction maxima, by intensity, 2θ = 5–70°:
two_theta  I_rel
32.5  100
31.0  74
40.6  68
44.7  49
61.9  36
51.9  34
28.4  31
42.8  23

Atomic structure:
```
SrMgZnGa2
1.0
-2.2219 2.2219 5.7009
2.2219 -2.2219 5.7009
2.2219 2.2219 -5.7009
Sr Mg Zn Ga
1 1 1 2
direct
0.0000 0.0000 0.0000
0.7500 0.2500 0.5000
0.2500 0.7500 0.5000
0.3883 0.3883 0.0000
0.6117 0.6117 0.0000
```

***

Simulated powder diffraction line list
Compound: Be2Zn
Radiation: Cu Kα (weighted mean of Kα1 and Kα2)
Structure: a structure optimized by DFT (GGA-PBE)

Largest 8 diffraction maxima, by intensity, 2θ = 5–70°:
two_theta  I_rel
15.2  100
44.6  58
52.6  33
41.7  27
30.7  22
64.5  14
46.8  10
64.0  2

Atomic structure:
```
Be2Zn
1.0
2.5036 0.0000 0.0000
-1.2518 2.1682 0.0000
0.0000 0.0000 5.8194
Be Zn
2 1
direct
0.3333 0.6667 0.3528
0.6667 0.3333 0.6472
0.0000 0.0000 0.0000
```

***

Simulated powder diffraction line list
Compound: Sr2Tl6In
Radiation: Cu Kα (weighted mean of Kα1 and Kα2)
Structure: a structure optimized by DFT (GGA-PBE)

Largest 8 diffraction maxima, by intensity, 2θ = 5–70°:
two_theta  I_rel
32.2  100
40.1  34
51.8  23
30.7  22
29.2  17
28.6  17
57.7  16
19.8  15

Atomic structure:
```
Sr2Tl6In
1.0
7.0630 0.0000 0.0000
-3.5315 6.1168 0.0000
0.0000 0.0000 6.6274
Sr Tl In
2 6 1
direct
0.3333 0.6667 0.3390
0.6667 0.3333 0.6610
0.1788 0.3576 0.8246
0.1788 0.8212 0.8246
0.3576 0.1788 0.1754
0.6424 0.8212 0.8246
0.8212 0.1788 0.1754
0.8212 0.6424 0.1754
0.0000 0.0000 0.5000
```

***

Simulated powder diffraction line list
Compound: Ac4P3Br
Radiation: Cu Kα (weighted mean of Kα1 and Kα2)
Structure: a structure optimized by DFT (GGA-PBE)

Largest 8 diffraction maxima, by intensity, 2θ = 5–70°:
two_theta  I_rel
28.3  100
40.5  50
24.6  42
24.4  41
66.4  22
48.0  21
50.4  14
40.7  13

Atomic structure:
```
Ac4P3Br
1.0
4.4803 -6.2924 0.0000
4.4803 6.2924 0.0000
0.0000 0.0000 4.4301
Ac P Br
4 3 1
direct
0.2291 0.2291 0.5000
0.2407 0.7593 0.0000
0.7593 0.2407 0.0000
0.7709 0.7709 0.5000
0.0000 0.0000 0.0000
0.0000 0.5000 0.5000
0.5000 0.0000 0.5000
0.5000 0.5000 0.0000
```

***

Number 1 is which compound? NbTePdI